TiAl6Mo: simulated XRD peak list (CuKα), based on the GGA-PBE geometry in the Materials Project.
Kinematic intensities with the Lorentz-polarization factor, no thermal factor.

Principal peaks in the range 2θ = 5–70°, in order of falling intensity:
2θ = 39.65°, 2.273 Å, intensity 100, (1 1 2)
2θ = 25.63°, 3.475 Å, intensity 26, (1 0 1)
2θ = 47.74°, 1.905 Å, intensity 26, (2 0 0)
2θ = 65.94°, 1.417 Å, intensity 19, (2 0 4)
2θ = 42.68°, 2.118 Å, intensity 18, (0 0 4)
2θ = 10.44°, 8.474 Å, intensity 14, (0 0 1)

Unit cell a=3.810 b=3.810 c=8.474 alpha=90.00 beta=90.00 gamma=90.00
Space group P4/mmm (No. 123)
One atom of each set of equivalent atoms:
1 Ti 0.000 0.000 0.000
2 Al 0.000 0.000 0.500
3 Al 0.000 0.500 0.248
4 Al 0.500 0.500 0.000
5 Mo 0.500 0.500 0.500